# 1
For Er3Cu4Sn2Ge2, a crystal structure in OQMD, relaxed with PBE gives the computed X-ray powder pattern in this record (Cu Kα, 1.54184 Å).
Intensities are scaled so that the largest is 100.

The 10 most intense peaks (10 to 90 degrees two-theta), in order of rising 2θ:
d_spacing  2θ (°)  I/Imax
3.234  27.58  12.1
2.637  33.99  100.0
2.542  35.31  70.7
2.372  37.93  23.0
2.133  42.38  31.0
2.072  43.68  26.1
1.954  46.48  18.0
1.621  56.78  11.6
1.486  62.49  17.8
1.233  77.38  12.6

Structural model:
Cell: 8.196 8.196 8.196 Å, 149.83 130.14 59.39°
Sites, in units of the cell vectors:
Er: 0.000 0.000 0.000
Er: 0.365 0.865 0.500
Er: 0.635 0.135 0.500
Cu: 0.011 0.323 0.689
Cu: 0.366 0.677 0.689
Cu: 0.634 0.323 0.311
Cu: 0.989 0.677 0.311
Sn: 0.298 0.500 0.798
Sn: 0.702 0.500 0.202
Ge: 0.216 0.216 0.000
Ge: 0.784 0.784 0.000

***

# 2
For Li4AlZnHg2, a crystal structure in OQMD, relaxed with PBE gives the computed X-ray powder pattern in this record (Cu Kα, 1.54184 Å).
Intensities are scaled so that the largest is 100.

The 10 most intense peaks (10 to 90 degrees two-theta), in order of rising 2θ:
d_spacing  2θ (°)  I/Imax
3.693  24.10  100.0
3.198  27.90  29.6
2.261  39.87  69.7
1.928  47.13  51.8
1.846  49.36  8.7
1.598  57.70  7.9
1.467  63.39  21.5
1.429  65.28  7.8
1.306  72.38  24.3
1.230  77.60  12.3

Structural model:
Cell: 4.519 4.519 6.406 Å, 90.00 90.00 90.00°
Sites, in units of the cell vectors:
Li: 0.000 0.000 0.000
Li: 0.000 0.500 0.240
Li: 0.500 0.000 0.760
Li: 0.500 0.500 0.500
Al: 0.000 0.000 0.500
Zn: 0.500 0.500 0.000
Hg: 0.000 0.500 0.747
Hg: 0.500 0.000 0.253

***

# 3
For TbGeH2O4, a crystal structure in OQMD, relaxed with PBE gives the computed X-ray powder pattern in this record (Cu Kα, 1.54184 Å).
Intensities are scaled so that the largest is 100.

The 10 most intense peaks (10 to 90 degrees two-theta), in order of rising 2θ:
d_spacing  2θ (°)  I/Imax
4.841  18.33  78.6
4.259  20.86  37.9
3.820  23.29  97.9
3.496  25.48  94.2
3.110  28.71  100.0
2.965  30.14  79.8
2.645  33.89  53.1
2.616  34.27  36.7
2.551  35.19  97.8
1.969  46.09  69.1

Structural model:
Cell: 4.969 6.219 5.999 Å, 90.00 103.05 90.00°
Sites, in units of the cell vectors:
Tb: 0.050 0.250 0.177
Tb: 0.950 0.750 0.823
Ge: 0.303 0.250 0.711
Ge: 0.697 0.750 0.289
H: 0.334 0.750 0.514
H: 0.500 0.000 0.000
H: 0.500 0.500 0.000
H: 0.666 0.250 0.486
O: 0.032 0.750 0.471
O: 0.254 0.025 0.934
O: 0.254 0.475 0.934
O: 0.452 0.250 0.437
O: 0.548 0.750 0.563
O: 0.746 0.525 0.066
O: 0.746 0.975 0.066
O: 0.968 0.250 0.529

***

# 4
For KPt3C, a crystal structure in OQMD, relaxed with PBE gives the computed X-ray powder pattern in this record (Cu Kα, 1.54184 Å).
Intensities are scaled so that the largest is 100.

The 10 most intense peaks (10 to 90 degrees two-theta), in order of rising 2θ:
d_spacing  2θ (°)  I/Imax
5.023  17.66  36.3
2.750  32.56  31.3
2.512  35.75  100.0
2.412  37.28  24.6
1.995  45.45  15.9
1.855  49.13  65.0
1.450  64.23  19.1
1.283  73.89  19.0
1.206  79.47  20.3
1.142  84.89  14.1

Structural model:
Cell: 5.801 5.801 5.500 Å, 90.00 90.00 120.00°
Sites, in units of the cell vectors:
K: 0.000 0.000 0.000
K: 0.000 0.000 0.500
Pt: 0.000 0.500 0.250
Pt: 0.000 0.500 0.750
Pt: 0.500 0.000 0.250
Pt: 0.500 0.000 0.750
Pt: 0.500 0.500 0.250
Pt: 0.500 0.500 0.750
C: 0.333 0.667 0.000
C: 0.667 0.333 0.000

***

# 5
For Dy3In3Cu2Pd, a crystal structure in OQMD, relaxed with PBE gives the computed X-ray powder pattern in this record (Cu Kα, 1.54184 Å).
Intensities are scaled so that the largest is 100.

The 10 most intense peaks (10 to 90 degrees two-theta), in order of rising 2θ:
d_spacing  2θ (°)  I/Imax
2.723  32.89  100.0
2.512  35.74  81.5
2.462  36.49  44.5
2.171  41.59  30.1
2.089  43.31  14.8
1.974  45.98  22.6
1.643  55.97  18.6
1.540  60.08  20.5
1.461  63.72  16.4
1.398  66.95  28.0

Structural model:
Cell: 7.522 7.522 3.948 Å, 90.00 90.00 120.00°
Sites, in units of the cell vectors:
Dy: 0.000 0.591 0.000
Dy: 0.409 0.409 0.000
Dy: 0.591 0.000 0.000
In: 0.000 0.261 0.500
In: 0.261 0.000 0.500
In: 0.739 0.739 0.500
Cu: 0.333 0.667 0.500
Cu: 0.667 0.333 0.500
Pd: 0.000 0.000 0.000

***

# 6
For CdH6C10Br2N6, a crystal structure in OQMD, relaxed with PBE gives the computed X-ray powder pattern in this record (Cu Kα, 1.54184 Å).
Intensities are scaled so that the largest is 100.

The 10 most intense peaks (10 to 90 degrees two-theta), in order of rising 2θ:
d_spacing  2θ (°)  I/Imax
7.299  12.13  58.3
6.605  13.41  58.0
5.789  15.31  66.8
5.729  15.47  58.3
4.220  21.05  100.0
3.357  26.55  60.8
3.154  28.30  78.7
2.800  31.96  58.2
2.641  33.94  73.1
2.428  37.03  64.2

Structural model:
Cell: 11.734 11.734 7.377 Å, 98.21 98.21 18.56°
Sites, in units of the cell vectors:
Cd: 0.000 0.000 0.000
H: 0.046 0.046 0.431
H: 0.139 0.139 0.659
H: 0.144 0.144 0.001
H: 0.856 0.856 0.999
H: 0.861 0.861 0.341
H: 0.954 0.954 0.569
C: 0.089 0.089 0.387
C: 0.141 0.141 0.512
C: 0.143 0.143 0.148
C: 0.194 0.194 0.276
C: 0.250 0.250 0.212
C: 0.750 0.750 0.788
C: 0.806 0.806 0.724
C: 0.857 0.857 0.852
C: 0.859 0.859 0.488
C: 0.911 0.911 0.613
Br: 0.456 0.456 0.217
Br: 0.544 0.544 0.783
N: 0.091 0.091 0.206
N: 0.193 0.193 0.458
N: 0.293 0.293 0.152
N: 0.707 0.707 0.848
N: 0.807 0.807 0.542
N: 0.909 0.909 0.794